# Cs2TcNiPb
Theoretical XRD peak list, Cu Kα. Input: the GGA-PBE geometry in Alexandria.
Peak positions follow from Bragg's law for the DFT cell and can differ from measured ones.

Peak list (10 most intense, 10 to 90 degrees two-theta, by intensity)
2theta  I (rel.)  index
27.4  100  2 0 0
28.0  87  1 1 1
39.1  39  2 2 0
24.3  38  1 0 1
49.9  38  2 0 2
48.8  38  3 1 1
37.0  26  2 1 1
57.8  24  2 2 2
78.7  20  4 2 2
63.9  18  4 2 0

Atomic structure:
```
Cs2TcNiPb
1.0
6.512 0.000 0.000
0.000 6.512 0.000
0.000 0.000 4.422
Cs Tc Ni Pb
2 1 1 1
Direct
0.000 0.500 0.000 Cs
0.500 0.000 0.000 Cs
0.000 0.000 0.000 Tc
0.000 0.000 0.500 Ni
0.500 0.500 0.500 Pb
```